TlAg15: calculated XRD peak list (λ = 1.5418 Å (Cu Kα)), based on the GGA-PBE geometry in OQMD.
Intensities are scaled so that the largest is 100.

Atomic structure:
```
data_TlAg15
_chemical_formula_sum 'Tl2 Ag30'
_cell_length_a 5.783
_cell_length_b 2.915
_cell_length_c 40.647
_cell_angle_alpha 90.00
_cell_angle_beta 90.20
_cell_angle_gamma 90.00
_symmetry_space_group_name_H-M 'P 1 21/m 1'
_symmetry_Int_Tables_number 11
loop_
_symmetry_equiv_pos_as_xyz
'x,y,z'
'-x,-y,-z'
'-x,y+1/2,-z'
'x,-y+1/2,z'
loop_
_atom_site_label
_atom_site_fract_x
_atom_site_fract_y
_atom_site_fract_z
Tl1 0.116 0.250 0.100
Ag1 0.121 0.250 0.218
Ag2 0.124 0.250 0.321
Ag3 0.124 0.250 0.423
Ag4 0.125 0.250 0.526
Ag5 0.126 0.250 0.628
Ag6 0.127 0.250 0.731
Ag7 0.128 0.250 0.834
Ag8 0.365 0.750 0.166
Ag9 0.372 0.750 0.269
Ag10 0.374 0.750 0.372
Ag11 0.375 0.750 0.474
Ag12 0.376 0.750 0.577
Ag13 0.377 0.750 0.679
Ag14 0.379 0.750 0.782
Ag15 0.383 0.750 0.884
```

Principal peaks in the range 2θ = 15–90°, in order of rising 2θ:
2θ/deg  Rel. int.
36.70  46
36.85  19
36.97  26
37.99  100
38.13  52
38.26  46
42.25  31
44.12  96
44.59  18
62.65  18
62.82  19
64.45  25